Entry 1:
For Ag2IOF, a crystal structure in the Materials Project, relaxed with PBE gives the simulated powder X-ray diffraction pattern in this record (CuKα).
No peak broadening, texture or thermal motion is included.

Structure:
Cell: 4.6390 7.9098 6.1614 Å, 90.00 92.18 90.00°
Fractional coordinates of all 10 atoms:
Ag 0.0150 0.0000 0.2657
Ag 0.0254 0.4368 0.2654
Ag 0.9746 0.9368 0.7346
Ag 0.9850 0.5000 0.7343
I 0.3127 0.7232 0.4889
I 0.6873 0.2232 0.5111
O 0.2597 0.3898 0.9815
O 0.7403 0.8898 0.0185
F 0.2940 0.0647 0.9919
F 0.7060 0.5647 0.0081

Largest 10 diffraction maxima, sorted by position, 2θ = 15–90°:
| 2θ/deg | d [Å] | I_rel |
| --- | --- | --- |
| 19.15 | 4.636 | 66 |
| 26.79 | 3.328 | 31 |
| 26.98 | 3.305 | 67 |
| 29.69 | 3.009 | 100 |
| 34.35 | 2.611 | 48 |
| 35.62 | 2.521 | 29 |
| 37.02 | 2.428 | 99 |
| 45.35 | 2.000 | 37 |
| 48.27 | 1.886 | 34 |
| 50.12 | 1.820 | 42 |

=====

Entry 2:
For AgSb3IF24, a crystal structure in the Materials Project, relaxed with PBE gives the simulated powder X-ray diffraction pattern in this record (CuKα).
No peak broadening, texture or thermal motion is included.

Structure:
Cell: 10.5903 10.5903 9.8290 Å, 91.52 91.52 119.44°
Fractional coordinates of all 58 atoms:
Ag 0.0000 0.0000 0.0000
Ag 0.0000 0.0000 0.5000
Sb 0.1714 0.8286 0.7500
Sb 0.1746 0.3420 0.7485
Sb 0.3420 0.1746 0.2485
Sb 0.6580 0.8254 0.7515
Sb 0.8254 0.6580 0.2515
Sb 0.8286 0.1714 0.2500
I 0.3334 0.6666 0.2500
I 0.6666 0.3334 0.7500
F 0.0086 0.6804 0.6471
F 0.0112 0.3262 0.8403
F 0.0236 0.1781 0.6255
F 0.0272 0.8431 0.8649
F 0.1569 0.9728 0.6351
F 0.1651 0.4727 0.6258
F 0.1669 0.1893 0.8591
F 0.1745 0.6940 0.8716
F 0.1781 0.0236 0.1255
F 0.1893 0.1669 0.3591
F 0.1908 0.5246 0.1386
F 0.1963 0.6696 0.3561
F 0.3060 0.8255 0.6284
F 0.3117 0.4855 0.8746
F 0.3180 0.3276 0.6468
F 0.3196 0.9914 0.8529
F 0.3262 0.0112 0.3403
F 0.3276 0.3180 0.1468
F 0.3304 0.8037 0.1439
F 0.3374 0.5296 0.3562
F 0.4704 0.6626 0.1438
F 0.4727 0.1651 0.1258
F 0.4754 0.8092 0.3614
F 0.4855 0.3117 0.3746
F 0.5145 0.6883 0.6254
F 0.5246 0.1908 0.6386
F 0.5273 0.8349 0.8742
F 0.5296 0.3374 0.8562
F 0.6626 0.4704 0.6438
F 0.6696 0.1963 0.8561
F 0.6724 0.6820 0.8532
F 0.6738 0.9888 0.6597
F 0.6804 0.0086 0.1471
F 0.6820 0.6724 0.3532
F 0.6883 0.5145 0.1254
F 0.6940 0.1745 0.3716
F 0.8037 0.3304 0.6439
F 0.8092 0.4754 0.8614
F 0.8107 0.8331 0.6409
F 0.8219 0.9764 0.8745
F 0.8255 0.3060 0.1284
F 0.8331 0.8107 0.1409
F 0.8349 0.5273 0.3742
F 0.8431 0.0272 0.3649
F 0.9728 0.1569 0.1351
F 0.9764 0.8219 0.3745
F 0.9888 0.6738 0.1597
F 0.9914 0.3196 0.3529

Largest 10 diffraction maxima, sorted by position, 2θ = 15–90°:
| 2θ/deg | d [Å] | I_rel |
| --- | --- | --- |
| 18.08 | 4.908 | 61 |
| 20.92 | 4.246 | 100 |
| 21.44 | 4.145 | 88 |
| 21.68 | 4.099 | 81 |
| 25.92 | 3.438 | 33 |
| 26.65 | 3.346 | 28 |
| 27.15 | 3.285 | 29 |
| 33.66 | 2.663 | 28 |
| 38.21 | 2.355 | 41 |
| 50.02 | 1.823 | 31 |

=====

Entry 3:
For InAg3F6, a crystal structure in the Materials Project, relaxed with PBE gives the simulated powder X-ray diffraction pattern in this record (CuKα).
No peak broadening, texture or thermal motion is included.

Structure:
Cell: 6.0534 6.1438 10.5276 Å, 90.00 124.46 90.00°
Fractional coordinates of all 20 atoms:
In 0.0000 0.0000 0.0000
In 0.0000 0.5000 0.5000
Ag 0.2708 0.0580 0.7559
Ag 0.2708 0.4420 0.2559
Ag 0.5000 0.0000 0.5000
Ag 0.5000 0.5000 0.0000
Ag 0.7292 0.5580 0.7441
Ag 0.7292 0.9420 0.2441
F 0.0994 0.0676 0.2249
F 0.0994 0.4324 0.7249
F 0.2364 0.7144 0.0775
F 0.2364 0.7856 0.5775
F 0.3476 0.1723 0.0576
F 0.3476 0.3277 0.5576
F 0.6524 0.6723 0.4424
F 0.6524 0.8277 0.9424
F 0.7636 0.2144 0.4225
F 0.7636 0.2856 0.9225
F 0.9006 0.5676 0.2751
F 0.9006 0.9324 0.7751

Largest 10 diffraction maxima, sorted by position, 2θ = 15–90°:
| 2θ/deg | d [Å] | I_rel |
| --- | --- | --- |
| 29.07 | 3.071 | 100 |
| 29.31 | 3.047 | 69 |
| 29.51 | 3.027 | 33 |
| 41.62 | 2.170 | 18 |
| 41.90 | 2.156 | 28 |
| 48.05 | 1.893 | 11 |
| 51.55 | 1.773 | 32 |
| 51.94 | 1.760 | 18 |
| 52.14 | 1.754 | 10 |
| 52.38 | 1.747 | 16 |

=====

Entry 4:
For InAg3F6, a crystal structure in the Materials Project, relaxed with PBE gives the simulated powder X-ray diffraction pattern in this record (CuKα).
No peak broadening, texture or thermal motion is included.

Structure:
Cell: 6.2689 6.2689 6.2689 Å, 60.00 60.00 60.00°
Fractional coordinates of all 10 atoms:
In 0.0000 0.0000 0.0000
Ag 0.2500 0.2500 0.2500
Ag 0.5000 0.5000 0.5000
Ag 0.7500 0.7500 0.7500
F 0.2356 0.2356 0.7644
F 0.2356 0.7644 0.2356
F 0.2356 0.7644 0.7644
F 0.7644 0.2356 0.2356
F 0.7644 0.2356 0.7644
F 0.7644 0.7644 0.2356

Largest 10 diffraction maxima, sorted by position, 2θ = 15–90°:
| 2θ/deg | d [Å] | I_rel |
| --- | --- | --- |
| 20.03 | 4.433 | 2 |
| 28.48 | 3.134 | 100 |
| 35.06 | 2.559 | 3 |
| 40.71 | 2.216 | 35 |
| 50.43 | 1.810 | 40 |
| 58.93 | 1.567 | 21 |
| 66.73 | 1.402 | 17 |
| 74.09 | 1.280 | 7 |
| 81.19 | 1.185 | 20 |
| 88.16 | 1.108 | 3 |

=====

Entry 5:
For K2InAgF6, a crystal structure in the Materials Project, relaxed with PBE gives the simulated powder X-ray diffraction pattern in this record (CuKα).
No peak broadening, texture or thermal motion is included.

Structure:
Cell: 6.3843 6.3843 6.3843 Å, 60.00 60.00 60.00°
Fractional coordinates of all 10 atoms:
K 0.2500 0.2500 0.2500
K 0.7500 0.7500 0.7500
In 0.0000 0.0000 0.0000
Ag 0.5000 0.5000 0.5000
F 0.2328 0.2328 0.7672
F 0.2328 0.7672 0.2328
F 0.2328 0.7672 0.7672
F 0.7672 0.2328 0.2328
F 0.7672 0.2328 0.7672
F 0.7672 0.7672 0.2328

Largest 10 diffraction maxima, sorted by position, 2θ = 15–90°:
| 2θ/deg | d [Å] | I_rel |
| --- | --- | --- |
| 19.67 | 4.514 | 55 |
| 27.95 | 3.192 | 100 |
| 39.94 | 2.257 | 45 |
| 44.90 | 2.019 | 25 |
| 49.45 | 1.843 | 39 |
| 57.76 | 1.596 | 26 |
| 61.64 | 1.505 | 11 |
| 65.37 | 1.428 | 17 |
| 72.54 | 1.303 | 8 |
| 79.43 | 1.207 | 19 |

=====

Entry 6:
For Rb2InAgF6, a crystal structure in the Materials Project, relaxed with PBE gives the simulated powder X-ray diffraction pattern in this record (CuKα).
No peak broadening, texture or thermal motion is included.

Structure:
Cell: 6.4396 6.4396 6.4396 Å, 60.00 60.00 60.00°
Fractional coordinates of all 10 atoms:
Rb 0.2500 0.2500 0.2500
Rb 0.7500 0.7500 0.7500
In 0.0000 0.0000 0.0000
Ag 0.5000 0.5000 0.5000
F 0.2316 0.2316 0.7684
F 0.2316 0.7684 0.2316
F 0.2316 0.7684 0.7684
F 0.7684 0.2316 0.2316
F 0.7684 0.2316 0.7684
F 0.7684 0.7684 0.2316

Largest 10 diffraction maxima, sorted by position, 2θ = 15–90°:
| 2θ/deg | d [Å] | I_rel |
| --- | --- | --- |
| 19.49 | 4.554 | 9 |
| 27.71 | 3.220 | 100 |
| 39.58 | 2.277 | 38 |
| 44.49 | 2.036 | 3 |
| 49.00 | 1.859 | 40 |
| 57.22 | 1.610 | 23 |
| 64.74 | 1.440 | 18 |
| 71.82 | 1.314 | 7 |
| 78.61 | 1.217 | 21 |
| 85.25 | 1.138 | 3 |

=====

Entry 7:
For AgIrF7, a crystal structure in the Materials Project, relaxed with PBE gives the simulated powder X-ray diffraction pattern in this record (CuKα).
No peak broadening, texture or thermal motion is included.

Structure:
Cell: 7.8855 7.2646 10.5480 Å, 90.00 90.00 90.00°
Fractional coordinates of all 36 atoms:
Ag 0.1363 0.2500 0.2436
Ag 0.3637 0.7500 0.7436
Ag 0.6363 0.2500 0.2564
Ag 0.8637 0.7500 0.7564
Ir 0.2013 0.7500 0.0585
Ir 0.2987 0.2500 0.5585
Ir 0.7013 0.7500 0.4415
Ir 0.7987 0.2500 0.9415
F 0.0197 0.2500 0.0160
F 0.0826 0.2500 0.6321
F 0.1110 0.7500 0.6903
F 0.1228 0.5689 0.1773
F 0.1228 0.9311 0.1773
F 0.2269 0.0683 0.4376
F 0.2269 0.4317 0.4376
F 0.2731 0.5683 0.9376
F 0.2731 0.9317 0.9376
F 0.3772 0.0689 0.6773
F 0.3772 0.4311 0.6773
F 0.3890 0.2500 0.1903
F 0.4174 0.7500 0.1321
F 0.4803 0.7500 0.5160
F 0.5197 0.2500 0.4840
F 0.5826 0.2500 0.8679
F 0.6110 0.7500 0.8097
F 0.6228 0.5689 0.3227
F 0.6228 0.9311 0.3227
F 0.7269 0.0683 0.0624
F 0.7269 0.4317 0.0624
F 0.7731 0.5683 0.5624
F 0.7731 0.9317 0.5624
F 0.8772 0.0689 0.8227
F 0.8772 0.4311 0.8227
F 0.8890 0.2500 0.3097
F 0.9174 0.7500 0.3679
F 0.9803 0.7500 0.9840

Largest 10 diffraction maxima, sorted by position, 2θ = 15–90°:
| 2θ/deg | d [Å] | I_rel |
| --- | --- | --- |
| 18.62 | 4.766 | 100 |
| 20.26 | 4.384 | 24 |
| 22.55 | 3.943 | 14 |
| 24.10 | 3.693 | 21 |
| 24.51 | 3.632 | 37 |
| 28.21 | 3.164 | 48 |
| 30.88 | 2.896 | 22 |
| 32.00 | 2.797 | 18 |
| 45.48 | 1.994 | 16 |
| 55.49 | 1.656 | 13 |

=====

Entry 8:
For Rb2AgIrF6, a crystal structure in the Materials Project, relaxed with PBE gives the simulated powder X-ray diffraction pattern in this record (CuKα).
No peak broadening, texture or thermal motion is included.

Structure:
Cell: 6.3043 6.3043 6.3043 Å, 60.00 60.00 60.00°
Fractional coordinates of all 10 atoms:
Rb 0.2500 0.2500 0.2500
Rb 0.7500 0.7500 0.7500
Ag 0.0000 0.0000 0.0000
Ir 0.5000 0.5000 0.5000
F 0.2704 0.2704 0.7296
F 0.2704 0.7296 0.2704
F 0.2704 0.7296 0.7296
F 0.7296 0.2704 0.2704
F 0.7296 0.2704 0.7296
F 0.7296 0.7296 0.2704

Largest 10 diffraction maxima, sorted by position, 2θ = 15–90°:
| 2θ/deg | d [Å] | I_rel |
| --- | --- | --- |
| 17.23 | 5.147 | 9 |
| 19.92 | 4.458 | 18 |
| 28.31 | 3.152 | 100 |
| 40.47 | 2.229 | 34 |
| 45.50 | 1.994 | 8 |
| 50.13 | 1.820 | 41 |
| 58.57 | 1.576 | 21 |
| 66.31 | 1.410 | 19 |
| 73.61 | 1.287 | 7 |
| 80.64 | 1.191 | 22 |